(1)
For Na2Co2O3, a cell relaxed with PBE+U gives the computed powder X-ray diffraction pattern in this record (CuKα).

Main lines, in order of rising 2θ (10° ≤ 2θ ≤ 90°):
2theta	d_spacing	I/Imax
15.56	5.695	1000
23.93	3.719	321
28.75	3.105	296
31.70	2.822	354
33.11	2.706	945
33.43	2.680	338
35.78	2.509	279
40.41	2.232	349
43.02	2.103	581
54.67	1.679	433

Structural model:
Cell: 8.396 8.396 5.648 Å, 108.29 108.29 83.27°
Fractional positions:
Na 0.075 0.925 0.750
Na 0.211 0.789 0.250
Na 0.320 0.507 0.415
Na 0.493 0.680 0.085
Na 0.507 0.320 0.915
Na 0.680 0.493 0.585
Na 0.789 0.211 0.750
Na 0.925 0.075 0.250
Co 0.051 0.587 0.750
Co 0.145 0.282 0.803
Co 0.282 0.145 0.303
Co 0.413 0.949 0.750
Co 0.587 0.051 0.250
Co 0.718 0.855 0.697
Co 0.855 0.718 0.197
Co 0.949 0.413 0.250
O 0.066 0.644 0.440
O 0.069 0.219 0.065
O 0.219 0.069 0.565
O 0.265 0.497 0.944
O 0.356 0.934 0.060
O 0.497 0.265 0.444
O 0.503 0.735 0.556
O 0.644 0.066 0.940
O 0.735 0.503 0.056
O 0.781 0.931 0.435
O 0.931 0.781 0.935
O 0.934 0.356 0.560

(2)
For Na10Co4O9, a cell relaxed with PBE+U gives the computed powder X-ray diffraction pattern in this record (CuKα).

Main lines, in order of rising 2θ (10° ≤ 2θ ≤ 90°):
2theta	d_spacing	I/Imax
16.64	5.327	698
22.88	3.887	645
25.02	3.559	620
33.53	2.673	696
34.92	2.569	991
36.11	2.487	902
36.24	2.479	752
37.33	2.409	1000
38.03	2.366	621
45.41	1.997	681

Structural model:
Cell: 8.431 8.525 11.483 Å, 86.38 69.81 61.20°
Fractional positions:
Na 0.002 0.115 0.392
Na 0.024 0.575 0.122
Na 0.130 0.162 0.637
Na 0.153 0.420 0.373
Na 0.233 0.025 0.886
Na 0.327 0.659 0.371
Na 0.345 0.113 0.114
Na 0.361 0.323 0.880
Na 0.401 0.774 0.618
Na 0.495 0.370 0.144
Na 0.505 0.630 0.856
Na 0.599 0.226 0.382
Na 0.639 0.677 0.120
Na 0.655 0.887 0.886
Na 0.673 0.341 0.629
Na 0.767 0.975 0.114
Na 0.847 0.580 0.627
Na 0.870 0.838 0.363
Na 0.976 0.425 0.878
Na 0.998 0.885 0.608
Co 0.076 0.753 0.850
Co 0.210 0.812 0.143
Co 0.258 0.465 0.651
Co 0.437 0.967 0.356
Co 0.563 0.033 0.644
Co 0.742 0.535 0.349
Co 0.790 0.188 0.857
Co 0.924 0.247 0.150
O 0.053 0.968 0.786
O 0.102 0.291 0.034
O 0.149 0.571 0.538
O 0.190 0.628 0.227
O 0.249 0.934 0.473
O 0.298 0.245 0.717
O 0.341 0.564 0.752
O 0.408 0.832 0.028
O 0.440 0.157 0.274
O 0.560 0.843 0.726
O 0.592 0.168 0.972
O 0.659 0.436 0.248
O 0.702 0.755 0.283
O 0.751 0.066 0.527
O 0.810 0.372 0.773
O 0.851 0.429 0.462
O 0.898 0.709 0.966
O 0.947 0.032 0.214

(3)
For NaCo3O6, a cell relaxed with PBE+U gives the computed powder X-ray diffraction pattern in this record (CuKα).

Main lines, in order of rising 2θ (10° ≤ 2θ ≤ 90°):
2theta	d_spacing	I/Imax
19.13	4.638	444
23.98	3.710	840
24.79	3.591	490
32.57	2.749	613
33.26	2.694	559
33.36	2.686	498
35.72	2.514	555
36.17	2.484	1000
49.11	1.855	509
53.19	1.722	438

Structural model:
Cell: 4.964 4.975 5.418 Å, 91.90 115.71 119.23°
Fractional positions:
Na 0.000 0.000 0.000
Co 0.530 0.267 0.813
Co 0.576 0.798 0.372
Co 0.947 0.473 0.412
O 0.053 0.875 0.607
O 0.104 0.646 0.167
O 0.403 0.545 0.607
O 0.527 0.456 0.155
O 0.703 0.077 0.157
O 0.735 0.197 0.616

(4)
For Na2CoO3, a cell relaxed with PBE+U gives the computed powder X-ray diffraction pattern in this record (CuKα).

Main lines, in order of rising 2θ (10° ≤ 2θ ≤ 90°):
2theta	d_spacing	I/Imax
16.51	5.369	1000
20.37	4.359	226
22.24	3.997	202
33.38	2.684	283
35.95	2.498	404
36.12	2.487	200
40.50	2.227	742
41.25	2.189	678
41.44	2.179	664
57.37	1.606	198

Structural model:
Cell: 5.269 5.688 9.050 Å, 90.13 90.17 109.27°
Fractional positions:
Na 0.000 0.000 0.000
Na 0.000 0.001 0.683
Na 0.500 0.000 0.184
Na 0.501 0.002 0.841
Na 0.501 0.502 0.343
Na 0.502 0.001 0.497
Na 0.997 0.500 0.841
Na 0.999 0.999 0.343
Co 0.002 0.501 0.171
Co 0.493 0.502 0.676
Co 0.499 0.498 0.015
Co 0.998 0.503 0.511
O 0.190 0.700 0.339
O 0.246 0.706 0.647
O 0.248 0.304 0.151
O 0.250 0.308 0.536
O 0.252 0.696 0.033
O 0.311 0.300 0.846
O 0.681 0.695 0.843
O 0.746 0.303 0.034
O 0.753 0.697 0.149
O 0.761 0.298 0.645
O 0.761 0.698 0.531
O 0.816 0.304 0.340

(5)
For Na2CoO3, a cell relaxed with PBE+U gives the computed powder X-ray diffraction pattern in this record (CuKα).

Main lines, in order of rising 2θ (10° ≤ 2θ ≤ 90°):
2theta	d_spacing	I/Imax
16.45	5.389	725
20.24	4.387	170
22.18	4.008	146
33.25	2.694	205
35.68	2.516	299
35.92	2.500	146
40.46	2.229	531
40.98	2.202	1000
57.17	1.611	286
60.70	1.526	258

Structural model:
Cell: 5.281 5.281 10.893 Å, 94.17 94.17 119.92°
Fractional positions:
Na 0.000 0.000 0.000
Na 0.091 0.407 0.251
Na 0.251 0.249 0.748
Na 0.409 0.093 0.252
Na 0.500 0.500 0.500
Na 0.593 0.909 0.749
Na 0.751 0.749 0.252
Na 0.907 0.591 0.748
Co 0.171 0.829 0.500
Co 0.332 0.668 0.000
Co 0.669 0.331 0.000
Co 0.829 0.171 0.500
O 0.018 0.643 0.100
O 0.088 0.087 0.402
O 0.153 0.539 0.598
O 0.357 0.982 0.900
O 0.419 0.405 0.101
O 0.461 0.847 0.402
O 0.539 0.153 0.597
O 0.595 0.581 0.899
O 0.662 0.053 0.101
O 0.847 0.461 0.403
O 0.913 0.912 0.598
O 0.947 0.338 0.899

(6)
For Na4Co7P6O24, a cell relaxed with PBE+U gives the computed powder X-ray diffraction pattern in this record (CuKα).

Main lines, in order of rising 2θ (10° ≤ 2θ ≤ 90°):
2theta	d_spacing	I/Imax
12.15	7.283	368
14.08	6.291	832
23.33	3.814	460
30.97	2.888	255
32.11	2.788	1000
33.04	2.711	880
37.04	2.427	299
38.11	2.361	261
40.76	2.214	219
54.78	1.676	234

Structural model:
Cell: 9.013 9.013 6.540 Å, 99.27 99.27 107.80°
Fractional positions:
Na 0.000 0.000 0.000
Na 0.232 0.461 0.969
Na 0.461 0.232 0.969
Na 0.617 0.617 0.922
Co 0.278 0.593 0.482
Co 0.297 0.925 0.296
Co 0.580 0.937 0.662
Co 0.593 0.278 0.482
Co 0.925 0.297 0.296
Co 0.936 0.936 0.476
Co 0.937 0.580 0.662
P 0.021 0.655 0.190
P 0.219 0.844 0.768
P 0.261 0.261 0.536
P 0.607 0.607 0.402
P 0.655 0.021 0.190
P 0.844 0.219 0.768
O 0.039 0.829 0.696
O 0.045 0.837 0.260
O 0.135 0.135 0.606
O 0.178 0.354 0.395
O 0.201 0.660 0.209
O 0.208 0.664 0.754
O 0.283 0.957 0.990
O 0.328 0.907 0.616
O 0.354 0.178 0.395
O 0.382 0.382 0.730
O 0.488 0.488 0.207
O 0.516 0.688 0.552
O 0.547 0.957 0.344
O 0.590 0.913 0.967
O 0.660 0.201 0.209
O 0.664 0.208 0.754
O 0.688 0.516 0.552
O 0.735 0.735 0.340
O 0.829 0.039 0.696
O 0.837 0.045 0.260
O 0.907 0.328 0.616
O 0.913 0.590 0.967
O 0.957 0.283 0.990
O 0.957 0.547 0.344

(7)
For NaCoPO4, a cell relaxed with PBE+U gives the computed powder X-ray diffraction pattern in this record (CuKα).

Main lines, in order of rising 2θ (10° ≤ 2θ ≤ 90°):
2theta	d_spacing	I/Imax
20.09	4.421	376
23.94	3.718	293
32.83	2.728	792
33.02	2.713	1000
34.80	2.578	932
35.34	2.540	279
48.46	1.879	281
49.01	1.859	456
61.39	1.510	253
61.99	1.497	305

Structural model:
Cell: 8.975 6.870 5.080 Å, 90.00 90.00 90.00°
Fractional positions:
Na 0.149 0.250 0.034
Na 0.351 0.750 0.534
Na 0.649 0.250 0.466
Na 0.851 0.750 0.966
Co 0.000 0.000 0.500
Co 0.000 0.500 0.500
Co 0.500 0.000 0.000
Co 0.500 0.500 0.000
P 0.176 0.750 0.039
P 0.324 0.250 0.539
P 0.676 0.750 0.461
P 0.824 0.250 0.961
O 0.116 0.750 0.751
O 0.122 0.566 0.185
O 0.122 0.934 0.185
O 0.148 0.250 0.550
O 0.352 0.750 0.050
O 0.378 0.066 0.685
O 0.378 0.434 0.685
O 0.384 0.250 0.251
O 0.616 0.750 0.749
O 0.622 0.566 0.315
O 0.622 0.934 0.315
O 0.648 0.250 0.950
O 0.852 0.750 0.450
O 0.878 0.066 0.815
O 0.878 0.434 0.815
O 0.884 0.250 0.249